Diffraction record for Li3Fe2Si2O8. The X-ray powder pattern is computed, not measured: it uses a DFT-relaxed cell (GGA+U, Alexandria) and λ = 1.5418 Å (Cu Kα).

```
data_Li3Fe2Si2O8
_cell_length_a 5.0709
_cell_length_b 6.3731
_cell_length_c 10.9423
_cell_angle_alpha 90.00
_cell_angle_beta 90.46
_cell_angle_gamma 90.00
_symmetry_space_group_name_H-M 'P 1 c 1'
_symmetry_Int_Tables_number 7
_symmetry_space_group_name_Hall 'P -2yc'
loop_
_atom_site_label
_atom_site_type_symbol
_atom_site_fract_x
_atom_site_fract_y
_atom_site_fract_z
Li1 Li 0.0000 0.0011 0.0000
Li2 Li 0.0066 0.2514 0.2338
Li3 Li 0.5037 0.2736 0.5785
Fe1 Fe 0.5070 0.0226 0.8210
Fe2 Fe 0.9920 0.4905 0.9861
Si1 Si 0.0094 0.2623 0.7371
Si2 Si 0.5051 0.2381 0.0767
O1 O 0.3335 0.2356 0.7359
O2 O 0.3868 0.4552 0.0217
O3 O 0.3974 0.1998 0.2180
O4 O 0.4056 0.0277 0.9912
O5 O 0.8288 0.2382 0.0754
O6 O 0.8869 0.0507 0.8117
O7 O 0.8995 0.2572 0.5944
O8 O 0.9345 0.4780 0.8078
```

Main lines, by intensity (2θ = 10–90°):
Position (°2θ), I (rel.), h k l
22.41, 100, 1 1 0
21.41, 68, 0 1 2
32.52, 58, 0 2 2
35.40, 52, 2 0 0
16.09, 37, 0 1 1
23.85, 35, 1 1 -1
58.30, 29, 0 2 6
37.22, 28, 1 0 -4
32.74, 28, 0 0 4
37.09, 23, 1 2 -2
64.58, 20, 3 2 -2
35.72, 14, 0 1 4